Al2Co3GeO8: computed powder diffraction line list (Cu Kα X-rays), based on DFT lattice parameters and positions (GGA+U).

Main lines, in order of falling intensity (2θ = 10–90°):
2θ/deg, Rel. int.
36.09, 100
30.34, 96
63.13, 76
35.56, 46
35.79, 43
57.68, 25
53.92, 24
35.66, 23
57.16, 21
58.01, 19

Atomic structure:
a = 5.890 Å, b = 5.890 Å, c = 5.890 Å
α = 120.89°, β = 119.92°, γ = 89.30°
Element x y z (fractional)
Al 0.235 0.000 0.235
Al 0.765 0.000 0.765
Co 0.242 0.486 0.244
Co 0.242 0.998 0.756
Co 0.863 0.363 0.500
Ge 0.630 0.630 0.000
O 0.008 0.760 0.248
O 0.459 0.219 0.240
O 0.501 0.239 0.738
O 0.501 0.763 0.262
O 0.512 0.760 0.752
O 0.979 0.219 0.760
O 0.994 0.213 0.219
O 0.994 0.775 0.781